This entry pairs a crystal structure of Re5Rh3 with its simulated powder diffraction line list. Radiation: copper Kα. Structure: a DFT-relaxed cell (GGA-PBE, Alexandria).
No peak broadening, texture or thermal motion is included.

Atomic structure:
Lattice parameters (Å, degrees): 5.4913 3.8961 6.1099 90.00 116.27 90.00
Space group P2/m (No. 10)
Symmetry-distinct sites (fractional):
Re1 0.0000 0.0000 0.0000
Re2 0.1284 0.5000 0.7518
Re3 0.2391 0.0000 0.4919
Rh1 0.3732 0.5000 0.2449
Rh2 0.5000 0.0000 0.0000

Main lines, in order of rising 2θ (2θ from 10° to 90°):
- 2θ 40.21, rel. 100
- 2θ 46.64, rel. 33
- 2θ 47.04, rel. 16
- 2θ 68.09, rel. 11
- 2θ 68.37, rel. 16
- 2θ 82.11, rel. 19
- 2θ 82.66, rel. 6
- 2θ 82.78, rel. 6

=====

This entry pairs a crystal structure of Mn6CrGa2 with its simulated powder diffraction line list. Radiation: copper Kα. Structure: a DFT-relaxed cell (GGA-PBE, Alexandria).
No peak broadening, texture or thermal motion is included.

Atomic structure:
Lattice parameters (Å, degrees): 7.0045 12.0795 2.5729 90.00 90.00 90.00
Space group Cmm2 (No. 35)
Symmetry-distinct sites (fractional):
Mn1 0.1598 0.0000 0.0000
Mn2 0.1794 0.3480 0.5872
Cr1 0.0000 0.5000 0.2318
Ga1 0.0000 0.1910 0.0956

Main lines, in order of rising 2θ (2θ from 10° to 90°):
- 2θ 38.00, rel. 33
- 2θ 43.68, rel. 78
- 2θ 44.88, rel. 100
- 2θ 45.03, rel. 38
- 2θ 46.34, rel. 57
- 2θ 53.56, rel. 24
- 2θ 53.66, rel. 15
- 2θ 78.28, rel. 24

=====

This entry pairs a crystal structure of Nd7Sm3Cd with its simulated powder diffraction line list. Radiation: copper Kα. Structure: a DFT-relaxed cell (GGA-PBE, Alexandria).
No peak broadening, texture or thermal motion is included.

Atomic structure:
Lattice parameters (Å, degrees): 7.1408 7.1408 8.7450 90.00 90.00 120.00
Space group P3m1 (No. 156)
Symmetry-distinct sites (fractional):
Nd1 0.0000 0.0000 0.0000
Nd2 0.1644 0.3288 0.3361
Nd3 0.5013 0.0026 0.0070
Sm1 0.3314 0.1657 0.6692
Cd1 0.6667 0.3333 0.3377

Main lines, in order of rising 2θ (2θ from 10° to 90°):
- 2θ 17.56, rel. 6
- 2θ 30.67, rel. 100
- 2θ 35.56, rel. 51
- 2θ 51.17, rel. 36
- 2θ 60.85, rel. 42
- 2θ 63.86, rel. 12
- 2θ 83.45, rel. 17
- 2θ 86.13, rel. 16

=====

This entry pairs a crystal structure of Y3GaRh8 with its simulated powder diffraction line list. Radiation: copper Kα. Structure: a DFT-relaxed cell (GGA-PBE, Alexandria).
No peak broadening, texture or thermal motion is included.

Atomic structure:
Lattice parameters (Å, degrees): 5.2913 5.2913 26.0349 90.00 90.00 120.00
Space group R3m (No. 160, hexagonal axes)
Symmetry-distinct sites (fractional):
Y1 0.0000 0.0000 0.0000
Y2 0.0000 0.0000 0.1293
Y3 0.0000 0.0000 0.6161
Ga1 0.0000 0.0000 0.4927
Rh1 0.0000 0.0000 0.3124
Rh2 0.0000 0.0000 0.8130
Rh3 0.0002 0.5001 0.5616
Rh4 0.0014 0.5007 0.0629

Main lines, in order of rising 2θ (2θ from 10° to 90°):
- 2θ 20.53, rel. 19
- 2θ 39.88, rel. 100
- 2θ 39.95, rel. 34
- 2θ 41.63, rel. 17
- 2θ 41.80, rel. 48
- 2θ 64.60, rel. 22
- 2θ 71.06, rel. 17
- 2θ 71.29, rel. 19

=====

This entry pairs a crystal structure of AlAgPd5 with its simulated powder diffraction line list. Radiation: copper Kα. Structure: a DFT-relaxed cell (GGA-PBE, Alexandria).
No peak broadening, texture or thermal motion is included.

Atomic structure:
Lattice parameters (Å, degrees): 4.0367 4.0367 6.9798 90.00 90.00 90.00
Space group P4/mmm (No. 123)
Symmetry-distinct sites (fractional):
Al1 0.0000 0.0000 0.0000
Ag1 0.5000 0.5000 0.5000
Pd1 0.0000 0.0000 0.5000
Pd2 0.0000 0.5000 0.2111

Main lines, in order of rising 2θ (2θ from 10° to 90°):
- 2θ 33.93, rel. 38
- 2θ 38.70, rel. 17
- 2θ 40.84, rel. 100
- 2θ 44.91, rel. 44
- 2θ 60.75, rel. 18
- 2θ 65.39, rel. 14
- 2θ 75.87, rel. 14
- 2θ 80.04, rel. 27

=====

This entry pairs a crystal structure of Pm2Cd3Ag2 with its simulated powder diffraction line list. Radiation: copper Kα. Structure: a DFT-relaxed cell (GGA-PBE, Alexandria).
No peak broadening, texture or thermal motion is included.

Atomic structure:
Lattice parameters (Å, degrees): 10.6363 4.3407 7.5107 90.00 94.70 90.00
Space group C2/m (No. 12)
Symmetry-distinct sites (fractional):
Pm1 0.1222 0.0000 0.3303
Cd1 0.0000 0.5000 0.0000
Cd2 0.1876 0.0000 0.8718
Ag1 0.0906 0.5000 0.6434

Main lines, in order of rising 2θ (2θ from 10° to 90°):
- 2θ 32.18, rel. 100
- 2θ 32.68, rel. 49
- 2θ 33.22, rel. 19
- 2θ 35.60, rel. 60
- 2θ 40.05, rel. 27
- 2θ 41.61, rel. 38
- 2θ 59.12, rel. 16
- 2θ 65.51, rel. 18

=====

This entry pairs a crystal structure of BaZnSnO4 with its simulated powder diffraction line list. Radiation: copper Kα. Structure: a DFT-relaxed cell (GGA-PBE, Alexandria).
No peak broadening, texture or thermal motion is included.

Atomic structure:
Lattice parameters (Å, degrees): 6.5558 6.6922 10.1197 90.00 90.00 90.00
Space group Imma (No. 74)
Symmetry-distinct sites (fractional):
Ba1 0.0000 0.2500 0.1098
Zn1 0.0000 0.0000 0.5000
Sn1 0.2500 0.2500 0.7500
O1 0.0000 0.0455 0.7432
O2 0.2070 0.2500 0.5423

Main lines, in order of rising 2θ (2θ from 10° to 90°):
- 2θ 25.92, rel. 74
- 2θ 26.64, rel. 33
- 2θ 29.66, rel. 71
- 2θ 31.29, rel. 69
- 2θ 31.65, rel. 100
- 2θ 46.94, rel. 33
- 2θ 50.29, rel. 36
- 2θ 53.31, rel. 68

=====

This entry pairs a crystal structure of Th4Bi3H with its simulated powder diffraction line list. Radiation: copper Kα. Structure: a DFT-relaxed cell (GGA-PBE, Alexandria).
No peak broadening, texture or thermal motion is included.

Atomic structure:
Lattice parameters (Å, degrees): 6.7013 10.9930 6.4758 90.00 90.00 90.00
Space group Imm2 (No. 44)
Symmetry-distinct sites (fractional):
Th1 0.0000 0.2340 0.0000
Th2 0.2455 0.5000 0.2279
Bi1 0.0000 0.2234 0.4864
Bi2 0.0000 0.5000 0.7441
H1 0.0000 0.0000 0.9821

Main lines, in order of rising 2θ (2θ from 10° to 90°):
- 2θ 31.14, rel. 43
- 2θ 31.26, rel. 56
- 2θ 32.08, rel. 100
- 2θ 32.58, rel. 43
- 2θ 38.67, rel. 34
- 2θ 38.99, rel. 23
- 2θ 51.44, rel. 24
- 2θ 64.93, rel. 28

=====

This entry pairs a crystal structure of TaNi7Pt4 with its simulated powder diffraction line list. Radiation: copper Kα. Structure: a DFT-relaxed cell (GGA-PBE, Alexandria).
No peak broadening, texture or thermal motion is included.

Atomic structure:
Lattice parameters (Å, degrees): 5.2789 5.8624 5.9399 73.12 78.52 64.27
Space group P-1 (No. 2)
Symmetry-distinct sites (fractional):
Ta1 0.0000 0.0000 0.0000
Ni1 0.0913 0.1617 0.3282
Ni2 0.2540 0.4985 0.0030
Ni3 0.3349 0.6749 0.3205
Ni4 0.5000 0.0000 0.0000
Pt1 0.1610 0.3454 0.6802
Pt2 0.4140 0.8223 0.6704

Main lines, in order of rising 2θ (2θ from 10° to 90°):
- 2θ 23.44, rel. 44
- 2θ 41.35, rel. 96
- 2θ 41.65, rel. 92
- 2θ 41.83, rel. 92
- 2θ 42.18, rel. 100
- 2θ 48.20, rel. 60
- 2θ 48.33, rel. 61
- 2θ 49.25, rel. 56

=====

This entry pairs a crystal structure of La3Tb3Nd4 with its simulated powder diffraction line list. Radiation: copper Kα. Structure: a DFT-relaxed cell (GGA-PBE, Alexandria).
No peak broadening, texture or thermal motion is included.

Atomic structure:
Lattice parameters (Å, degrees): 3.8497 13.6455 13.5722 90.00 90.00 90.00
Space group Amm2 (No. 38)
Symmetry-distinct sites (fractional):
La1 0.0000 0.0000 0.0000
La2 0.5000 0.2455 0.5813
Tb1 0.0000 0.0000 0.6592
Tb2 0.0000 0.1693 0.3311
Nd1 0.5000 0.0000 0.2045
Nd2 0.5000 0.0000 0.4576
Nd3 0.5000 0.1290 0.8269

Main lines, in order of rising 2θ (2θ from 10° to 90°):
- 2θ 29.35, rel. 58
- 2θ 29.72, rel. 25
- 2θ 31.17, rel. 100
- 2θ 45.45, rel. 12
- 2θ 47.22, rel. 11
- 2θ 54.07, rel. 10
- 2θ 56.58, rel. 18
- 2θ 56.71, rel. 9

=====

This entry pairs a crystal structure of Tl2CuI3 with its simulated powder diffraction line list. Radiation: copper Kα. Structure: a DFT-relaxed cell (GGA-PBE, Alexandria).
No peak broadening, texture or thermal motion is included.

Atomic structure:
Lattice parameters (Å, degrees): 9.3090 9.8614 9.6213 90.00 90.00 90.00
Space group Pnnm (No. 58)
Symmetry-distinct sites (fractional):
Tl1 0.1559 0.1498 0.2413
Cu1 0.0447 0.3760 0.5000
I1 0.0000 0.5000 0.2567
I2 0.1367 0.8318 0.5000
I3 0.1700 0.8359 0.0000

Main lines, in order of rising 2θ (2θ from 10° to 90°):
- 2θ 27.62, rel. 100
- 2θ 28.17, rel. 80
- 2θ 28.80, rel. 32
- 2θ 30.20, rel. 40
- 2θ 37.39, rel. 30
- 2θ 39.96, rel. 19
- 2θ 48.79, rel. 20
- 2θ 55.89, rel. 20

=====

This entry pairs a crystal structure of V4Pt with its simulated powder diffraction line list. Radiation: copper Kα. Structure: a DFT-relaxed cell (GGA-PBE, Alexandria).
No peak broadening, texture or thermal motion is included.

Atomic structure:
Lattice parameters (Å, degrees): 4.2603 4.2603 13.1082 90.00 90.00 120.00
Space group R-3m (No. 166, hexagonal axes)
Symmetry-distinct sites (fractional):
V1 0.0000 0.0000 0.0930
V2 0.0000 0.0000 0.2981
Pt1 0.0000 0.0000 0.5000

Main lines, in order of rising 2θ (2θ from 10° to 90°):
- 2θ 20.32, rel. 24
- 2θ 25.07, rel. 49
- 2θ 27.75, rel. 44
- 2θ 36.68, rel. 25
- 2θ 42.29, rel. 100
- 2θ 42.43, rel. 100
- 2θ 61.46, rel. 31
- 2θ 77.57, rel. 47

=====

This entry pairs a crystal structure of Li2CaSiGe2 with its simulated powder diffraction line list. Radiation: copper Kα. Structure: a DFT-relaxed cell (GGA-PBE, Alexandria).
No peak broadening, texture or thermal motion is included.

Atomic structure:
Lattice parameters (Å, degrees): 4.0877 7.9157 7.1710 90.00 90.00 90.00
Space group Pmc2_1 (No. 26)
Symmetry-distinct sites (fractional):
Li1 0.0000 0.0706 0.0000
Li2 0.5000 0.1672 0.3185
Ca1 0.5000 0.4286 0.9525
Si1 0.0000 0.3192 0.6060
Ge1 0.0000 0.3631 0.2474
Ge2 0.5000 0.1439 0.6870

Main lines, in order of rising 2θ (2θ from 10° to 90°):
- 2θ 11.18, rel. 50
- 2θ 25.71, rel. 93
- 2θ 27.53, rel. 100
- 2θ 33.91, rel. 41
- 2θ 35.17, rel. 99
- 2θ 40.70, rel. 56
- 2θ 44.29, rel. 72
- 2θ 64.44, rel. 35

=====

This entry pairs a crystal structure of RbNpI4 with its simulated powder diffraction line list. Radiation: copper Kα. Structure: a DFT-relaxed cell (GGA-PBE, Alexandria).
No peak broadening, texture or thermal motion is included.

Atomic structure:
Lattice parameters (Å, degrees): 4.7427 9.0169 9.0692 110.46 105.12 104.27
Space group P-1 (No. 2)
Symmetry-distinct sites (fractional):
Rb1 0.0000 0.0000 0.0000
Np1 0.0000 0.5000 0.5000
I1 0.2755 0.8895 0.6539
I2 0.3722 0.4896 0.2535

Main lines, in order of rising 2θ (2θ from 10° to 90°):
- 2θ 11.28, rel. 65
- 2θ 11.91, rel. 61
- 2θ 22.69, rel. 42
- 2θ 24.25, rel. 100
- 2θ 30.90, rel. 33
- 2θ 32.09, rel. 33
- 2θ 34.46, rel. 14
- 2θ 37.95, rel. 20